This entry pairs a crystal structure of K3Na3CrF8 with its calculated powder X-ray diffraction pattern. Radiation: Cu Kα (weighted mean of Kα1 and Kα2). Structure: DFT lattice parameters and positions (PBE+U).
Peak positions follow from Bragg's law for the DFT cell and can differ from measured ones.

Peak list (12 most intense, 10° ≤ 2θ ≤ 80°, by intensity)
2θ (°), I/Imax
35.77, 100
36.15, 45
15.52, 44
50.48, 39
53.06, 26
15.64, 22
52.46, 17
29.57, 13
65.36, 12
29.80, 9
31.33, 9
14.66, 8

Atomic structure:
```
data_K3Na3CrF8
_symmetry_space_group_name_H-M 'P 1'
_symmetry_Int_Tables_number 1
_cell_length_a 6.9046
_cell_length_b 6.9046
_cell_length_c 7.2438
_cell_angle_alpha 118.43
_cell_angle_beta 118.43
_cell_angle_gamma 60.70
loop_
_symmetry_equiv_pos_as_xyz
'x,y,z'
loop_
_atom_site_label
_atom_site_type_symbol
_atom_site_fract_x
_atom_site_fract_y
_atom_site_fract_z
K1 K 0.0000 0.0000 0.0000
K2 K 0.0000 0.5000 0.0000
K3 K 0.5000 0.0000 0.0000
Na1 Na 0.0000 0.5000 0.5000
Na2 Na 0.5000 0.0000 0.5000
Na3 Na 0.5000 0.5000 0.5000
Cr1 Cr 0.0000 0.0000 0.5000
F1 F 0.2048 0.2048 0.6876
F2 F 0.2209 0.7573 0.6996
F3 F 0.2427 0.7791 0.3004
F4 F 0.2610 0.2610 0.2844
F5 F 0.7390 0.7390 0.7156
F6 F 0.7573 0.2209 0.6996
F7 F 0.7791 0.2427 0.3004
F8 F 0.7952 0.7952 0.3124
```